[1]
Diffraction record for RbLiMnP3HO10. The powder X-ray diffraction pattern is simulated, not measured: it uses a cell relaxed with GGA+U and Cu Kα (weighted mean of Kα1 and Kα2).

Structure:
```
data_RbLiMnP3HO10
_chemical_formula_sum 'Rb4 Li4 Mn4 P12 H4 O40'
_cell_length_a 11.835
_cell_length_b 9.083
_cell_length_c 9.591
_cell_angle_alpha 90.00
_cell_angle_beta 108.88
_cell_angle_gamma 90.00
_space_group_name_H-M_alt 'C 1 c 1'
_space_group_IT_number 9
_space_group_name_Hall 'C -2yc'
loop_
_atom_site_label
_atom_site_type_symbol
_atom_site_fract_x
_atom_site_fract_y
_atom_site_fract_z
Rb1 Rb 0.000 0.041 0.000
Li1 Li 0.457 0.108 0.253
Mn1 Mn 0.250 0.247 0.735
P1 P 0.213 0.433 0.042
P2 P 0.280 0.067 0.424
P3 P 0.495 0.125 0.991
H1 H 0.240 0.259 0.215
O1 O 0.055 0.297 0.636
O2 O 0.080 0.497 0.451
O3 O 0.174 0.305 0.129
O4 O 0.198 0.047 0.826
O5 O 0.229 0.140 0.532
O6 O 0.258 0.377 0.923
O7 O 0.291 0.453 0.643
O8 O 0.339 0.172 0.340
O9 O 0.398 0.027 0.037
O10 O 0.440 0.208 0.852
```

Main lines, low angle first (2θ from 10° to 90°):
2θ 14.25, I 48
2θ 19.56, I 73
2θ 20.83, I 79
2θ 25.18, I 80
2θ 25.41, I 29
2θ 27.38, I 58
2θ 27.79, I 100
2θ 28.98, I 96
2θ 31.97, I 51
2θ 39.41, I 40

=====

[2]
Diffraction record for Li2MnVP2H2O10. The powder X-ray diffraction pattern is simulated, not measured: it uses a cell relaxed with GGA+U and Cu Kα (weighted mean of Kα1 and Kα2).

Structure:
```
data_Li2MnVP2H2O10
_chemical_formula_sum 'Li6 Mn3 V3 P6 H6 O30'
_cell_length_a 5.434
_cell_length_b 7.395
_cell_length_c 14.445
_cell_angle_alpha 93.82
_cell_angle_beta 94.31
_cell_angle_gamma 105.86
_space_group_name_H-M_alt 'P -1'
_space_group_IT_number 2
_space_group_name_Hall '-P 1'
loop_
_atom_site_label
_atom_site_type_symbol
_atom_site_fract_x
_atom_site_fract_y
_atom_site_fract_z
Li1 Li 0.019 0.095 0.416
Li2 Li 0.318 0.248 0.916
Li3 Li 0.356 0.417 0.748
Mn1 Mn 0.163 0.667 0.167
Mn2 Mn 0.500 0.500 0.500
V1 V 0.164 0.168 0.168
V2 V 0.500 0.000 0.500
P1 P 0.024 0.660 0.392
P2 P 0.306 0.671 0.938
P3 P 0.365 0.995 0.726
H1 H 0.113 0.895 0.050
H2 H 0.218 0.443 0.287
H3 H 0.445 0.220 0.382
O1 O 0.024 0.722 0.292
O2 O 0.059 0.894 0.113
O3 O 0.078 0.884 0.733
O4 O 0.120 0.796 0.920
O5 O 0.126 0.841 0.463
O6 O 0.187 0.521 0.404
O7 O 0.228 0.490 0.870
O8 O 0.267 0.441 0.221
O9 O 0.268 0.435 0.599
O10 O 0.304 0.623 0.040
O11 O 0.367 0.044 0.624
O12 O 0.401 0.221 0.447
O13 O 0.409 0.215 0.070
O14 O 0.445 0.177 0.794
O15 O 0.452 0.131 0.256
```

Main lines, low angle first (2θ from 10° to 90°):
2θ 17.56, I 27
2θ 18.38, I 32
2θ 18.56, I 44
2θ 25.40, I 27
2θ 25.62, I 30
2θ 26.45, I 88
2θ 26.78, I 100
2θ 28.83, I 73
2θ 35.67, I 33
2θ 37.26, I 26

=====

[3]
Diffraction record for Li2MnVP2H2O10. The powder X-ray diffraction pattern is simulated, not measured: it uses a cell relaxed with GGA+U and Cu Kα (weighted mean of Kα1 and Kα2).

Structure:
```
data_Li2MnVP2H2O10
_chemical_formula_sum 'Li4 Mn2 V2 P4 H4 O20'
_cell_length_a 6.956
_cell_length_b 7.415
_cell_length_c 8.052
_cell_angle_alpha 91.70
_cell_angle_beta 92.29
_cell_angle_gamma 117.49
_space_group_name_H-M_alt 'P -1'
_space_group_IT_number 2
_space_group_name_Hall '-P 1'
loop_
_atom_site_label
_atom_site_type_symbol
_atom_site_fract_x
_atom_site_fract_y
_atom_site_fract_z
Li1 Li 0.071 0.327 0.175
Li2 Li 0.427 0.677 0.324
Mn1 Mn 0.000 0.000 0.500
Mn2 Mn 0.000 0.500 0.500
V1 V 0.500 0.000 0.000
V2 V 0.500 0.500 0.000
P1 P 0.022 0.734 0.156
P2 P 0.477 0.268 0.342
H1 H 0.210 0.830 0.648
H2 H 0.289 0.161 0.848
O1 O 0.036 0.118 0.741
O2 O 0.056 0.763 0.605
O3 O 0.118 0.624 0.267
O4 O 0.176 0.843 0.018
O5 O 0.188 0.427 0.943
O6 O 0.317 0.157 0.479
O7 O 0.318 0.575 0.556
O8 O 0.386 0.380 0.226
O9 O 0.442 0.225 0.896
O10 O 0.468 0.881 0.761
```

Main lines, low angle first (2θ from 10° to 90°):
2θ 17.61, I 33
2θ 18.29, I 39
2θ 18.68, I 49
2θ 22.13, I 28
2θ 25.36, I 32
2θ 25.73, I 29
2θ 26.30, I 78
2θ 26.81, I 100
2θ 28.99, I 86
2θ 35.74, I 42